Entry 1:
The following is a simulated XRD peak list of Li4Ni3SnP4O16. It was derived from a crystal structure in the Materials Project, relaxed with GGA+U, using copper Kα.
Peak positions follow from Bragg's law for the DFT cell and can differ from measured ones.

Principal peaks in the range 10 to 90 degrees two-theta, in order of rising 2θ:
2θ (°)  I_rel
16.65  73.3
20.18  36.1
20.41  32.6
25.03  100.0
25.21  97.1
29.56  93.7
34.55  79.5
34.98  82.0
36.89  35.0
51.78  32.5

Atomic structure:
a = 4.7999 Å, b = 6.0443 Å, c = 10.6499 Å
α = 90.00°, β = 90.87°, γ = 90.00°
Fractional coordinates of all 28 atoms:
Li 0.0000 0.2436 0.0000
Li 0.0000 0.7564 0.0000
Li 0.4894 0.2484 0.5318
Li 0.4894 0.7516 0.5318
Ni 0.0171 0.5000 0.3044
Ni 0.4853 0.5000 0.7880
Ni 0.9747 0.0000 0.7377
Sn 0.5074 0.0000 0.2379
P 0.0645 0.0000 0.4475
P 0.4145 0.0000 0.9054
P 0.6244 0.5000 0.1058
P 0.9114 0.5000 0.6138
O 0.1847 0.2096 0.3786
O 0.1847 0.7904 0.3786
O 0.2055 0.0000 0.5802
O 0.2323 0.5000 0.6204
O 0.2799 0.2067 0.8383
O 0.2799 0.7933 0.8383
O 0.2875 0.0000 0.0386
O 0.3111 0.5000 0.1298
O 0.7062 0.5000 0.9646
O 0.7358 0.0000 0.9059
O 0.7459 0.0000 0.4521
O 0.7756 0.2971 0.6842
O 0.7756 0.7029 0.6842
O 0.7841 0.2999 0.1696
O 0.7841 0.7001 0.1696
O 0.7866 0.5000 0.4779

Entry 2:
The following is a simulated XRD peak list of Sr3NiPtO6. It was derived from a crystal structure in the Materials Project, relaxed with GGA+U, using copper Kα.
Peak positions follow from Bragg's law for the DFT cell and can differ from measured ones.

Principal peaks in the range 10 to 90 degrees two-theta, in order of rising 2θ:
2θ (°)  I_rel
18.33  41.6
18.90  43.7
30.00  45.1
32.02  100.0
38.34  29.2
41.99  21.1
42.81  36.7
44.45  25.8
57.94  25.2
66.97  16.9

Atomic structure:
a = 6.7471 Å, b = 6.7471 Å, c = 6.7471 Å
α = 91.69°, β = 91.69°, γ = 91.69°
Fractional coordinates of all 22 atoms:
Sr 0.1141 0.7500 0.3859
Sr 0.2500 0.6141 0.8859
Sr 0.3859 0.1141 0.7500
Sr 0.6141 0.8859 0.2500
Sr 0.7500 0.3859 0.1141
Sr 0.8859 0.2500 0.6141
Ni 0.2500 0.2500 0.2500
Ni 0.7500 0.7500 0.7500
Pt 0.0000 0.0000 0.0000
Pt 0.5000 0.5000 0.5000
O 0.0344 0.9097 0.7105
O 0.0903 0.2895 0.9656
O 0.2105 0.4097 0.5344
O 0.2895 0.9656 0.0903
O 0.4097 0.5344 0.2105
O 0.4656 0.7895 0.5903
O 0.5344 0.2105 0.4097
O 0.5903 0.4656 0.7895
O 0.7105 0.0344 0.9097
O 0.7895 0.5903 0.4656
O 0.9097 0.7105 0.0344
O 0.9656 0.0903 0.2895

Entry 3:
The following is a simulated XRD peak list of MgVFeP4O14. It was derived from a crystal structure in the Materials Project, relaxed with GGA+U, using copper Kα.
Peak positions follow from Bragg's law for the DFT cell and can differ from measured ones.

Principal peaks in the range 10 to 90 degrees two-theta, in order of rising 2θ:
2θ (°)  I_rel
13.48  24.9
17.07  100.0
17.25  77.5
22.13  30.3
22.30  80.6
26.83  51.0
28.73  33.0
28.84  70.8
29.11  92.3
29.73  47.5

Atomic structure:
a = 4.9192 Å, b = 6.9437 Å, c = 8.3671 Å
α = 90.31°, β = 90.81°, γ = 108.90°
Fractional coordinates of all 21 atoms:
Mg 0.0000 0.0000 0.0000
V 0.0184 0.0246 0.3818
Fe 0.5803 0.5583 0.8592
P 0.0278 0.3881 0.0888
P 0.1922 0.8126 0.6880
P 0.4199 0.7873 0.1875
P 0.5986 0.2077 0.5929
O 0.0692 0.8024 0.5208
O 0.2056 0.9093 0.1817
O 0.2068 0.3403 0.9507
O 0.2353 0.5511 0.2099
O 0.3470 0.6593 0.7164
O 0.4098 0.2029 0.4455
O 0.4179 0.0385 0.7215
O 0.5730 0.8026 0.0251
O 0.6228 0.8362 0.3295
O 0.6737 0.4024 0.6924
O 0.7887 0.4654 0.0341
O 0.8686 0.1555 0.5550
O 0.9250 0.1875 0.1816
O 0.9679 0.8034 0.8208